# Rb4Ni3F10
Simulated powder XRD pattern, λ = 1.5418 Å (Cu Kα). Input: DFT lattice parameters and positions (GGA+U).

Main lines, low angle first (2θ from 10° to 90°):
2θ = 29.8°, intensity 1000, (1 0 7)
2θ = 30.6°, intensity 617, (1 1 0)
2θ = 38.9°, intensity 203, (1 1 8)
2θ = 43.8°, intensity 473, (2 0 0)
2θ = 53.9°, intensity 377, (2 1 7)
2θ = 62.0°, intensity 198, (2 0 14)

Cell and atoms:
Cell lengths 4.138, 4.138, 30.366 Å; angles 90.00, 90.00, 90.00 degrees
Space group I4/mmm (No. 139)
Asymmetric unit:
Rb (0.000, 0.000, 0.068) x4
Rb (0.000, 0.000, 0.203) x4
Ni (0.000, 0.000, 0.364) x4
Ni (0.000, 0.000, 0.500) x2
F (0.000, 0.000, 0.297) x4
F (0.000, 0.000, 0.432) x4
F (0.000, 0.500, 0.000) x4
F (0.000, 0.500, 0.136) x8